For BaZn2InAu5, a cell relaxed with GGA-PBE gives the calculated powder diffractogram in this record (CuKα).
Kinematic intensities with the Lorentz-polarization factor, no thermal factor.

Top 6 peaks for 2θ from 10° to 90°, low angle first:
index  2θ/deg  intensity
1 1 1  27.1  32
1 1 2  33.6  100
2 0 0  35.0  91
2 0 3  49.7  39
2 2 0  50.4  33
3 1 2  61.9  35

Crystal structure
```
BaZn2InAu5
1.0
5.123 0.000 0.000
0.000 5.123 0.000
0.000 0.000 7.873
Ba Zn In Au
1 2 1 5
Cartesian
0.000 0.000 0.000
2.561 2.561 2.578
2.561 2.561 5.295
0.000 0.000 3.936
0.000 2.561 2.410
0.000 2.561 5.463
2.561 0.000 2.410
2.561 0.000 5.463
2.561 2.561 0.000
```